[1]
Diffraction record for U2Ni21B6. The powder diffraction line list is theoretical, not measured: it uses a cell relaxed with GGA-PBE and copper Kα.

Structure:
Unit cell a=10.6571 b=10.6571 c=10.6571 alpha=90.00 beta=90.00 gamma=90.00
Space group Fm-3m (No. 225)
Symmetry-distinct sites (fractional):
U: 0.2500 0.2500 0.2500
Ni: 0.0000 0.0000 0.0000
Ni: 0.0000 0.1704 0.1704
Ni: 0.1143 0.1143 0.3857
B: 0.0000 0.0000 0.2651

Top 10 peaks for 10 to 80 degrees two-theta, by angle:
two_theta	I_rel
16.64	45
23.61	37
37.75	100
41.51	91
44.16	91
48.31	47
50.68	23
57.35	30
73.24	30
75.73	47

[2]
Diffraction record for NiB2W3. The powder diffraction line list is theoretical, not measured: it uses a cell relaxed with GGA-PBE and copper Kα.

Structure:
Unit cell a=4.6162 b=7.9311 c=7.6805 alpha=90.00 beta=90.00 gamma=90.00
Space group Fmm2 (No. 42)
Symmetry-distinct sites (fractional):
Ni: 0.0000 0.0000 0.0000
B: 0.2500 0.2500 0.0785
W: 0.0000 0.0000 0.6556
W: 0.0000 0.1618 0.3296

Top 10 peaks for 10 to 80 degrees two-theta, by angle:
two_theta	I_rel
23.16	23
25.15	25
32.45	36
39.02	43
41.06	100
41.93	76
51.63	24
51.90	16
72.08	19
74.31	21

What did the second record say?
Diffraction record for NiB2W3. The powder diffraction line list is theoretical, not measured: it uses a cell relaxed with GGA-PBE and copper Kα.

Structure:
Unit cell a=4.6162 b=7.9311 c=7.6805 alpha=90.00 beta=90.00 gamma=90.00
Space group Fmm2 (No. 42)
Symmetry-distinct sites (fractional):
Ni: 0.0000 0.0000 0.0000
B: 0.2500 0.2500 0.0785
W: 0.0000 0.0000 0.6556
W: 0.0000 0.1618 0.3296

Top 10 peaks for 10 to 80 degrees two-theta, by angle:
two_theta	I_rel
23.16	23
25.15	25
32.45	36
39.02	43
41.06	100
41.93	76
51.63	24
51.90	16
72.08	19
74.31	21

Q: Number 2 is which compound?
A: NiB2W3